Record 1
Diffraction record for Cs2GaHgCl6. The PXRD pattern is theoretical, not measured: it uses a cell relaxed with PBE and CuKα.
No peak broadening, texture or thermal motion is included.

Cell and atoms:
a = 10.6642 Å, b = 10.6642 Å, c = 10.6642 Å
α = 90.00°, β = 90.00°, γ = 90.00°
Space group Fm-3m (No. 225)
One atom of each set of equivalent atoms:
1 Cs 0.2500 0.2500 0.2500 x8
2 Ga 0.0000 0.0000 0.0000 x4
3 Hg 0.0000 0.0000 0.5000 x4
4 Cl 0.0000 0.0000 0.2290 x24

Largest 6 diffraction maxima, low angle first, 10 to 90 degrees two-theta:
| 2θ (°) | Rel. int. | h k l |
| --- | --- | --- |
| 23.60 | 100 | 2 2 0 |
| 33.62 | 52 | 4 0 0 |
| 41.48 | 45 | 4 2 2 |
| 48.28 | 35 | 4 4 0 |
| 54.41 | 23 | 6 2 0 |
| 65.50 | 26 | 6 4 2 |



Record 2
Diffraction record for Cs2InGaCl6. The PXRD pattern is theoretical, not measured: it uses a cell relaxed with PBE and CuKα.
No peak broadening, texture or thermal motion is included.

Cell and atoms:
a = 10.9365 Å, b = 10.9365 Å, c = 10.9365 Å
α = 90.00°, β = 90.00°, γ = 90.00°
Space group Fm-3m (No. 225)
One atom of each set of equivalent atoms:
1 Cs 0.2500 0.2500 0.2500 x8
2 In 0.0000 0.0000 0.0000 x4
3 Ga 0.0000 0.0000 0.5000 x4
4 Cl 0.0000 0.0000 0.2348 x24

Largest 6 diffraction maxima, low angle first, 10 to 90 degrees two-theta:
| 2θ (°) | Rel. int. | h k l |
| --- | --- | --- |
| 23.00 | 100 | 2 2 0 |
| 28.27 | 23 | 2 2 2 |
| 32.75 | 62 | 4 0 0 |
| 40.40 | 45 | 4 2 2 |
| 47.00 | 42 | 4 4 0 |
| 63.67 | 25 | 6 4 2 |



Copy entry 1 word for word.
Diffraction record for Cs2GaHgCl6. The PXRD pattern is theoretical, not measured: it uses a cell relaxed with PBE and CuKα.
No peak broadening, texture or thermal motion is included.

Cell and atoms:
a = 10.6642 Å, b = 10.6642 Å, c = 10.6642 Å
α = 90.00°, β = 90.00°, γ = 90.00°
Space group Fm-3m (No. 225)
One atom of each set of equivalent atoms:
1 Cs 0.2500 0.2500 0.2500 x8
2 Ga 0.0000 0.0000 0.0000 x4
3 Hg 0.0000 0.0000 0.5000 x4
4 Cl 0.0000 0.0000 0.2290 x24

Largest 6 diffraction maxima, low angle first, 10 to 90 degrees two-theta:
| 2θ (°) | Rel. int. | h k l |
| --- | --- | --- |
| 23.60 | 100 | 2 2 0 |
| 33.62 | 52 | 4 0 0 |
| 41.48 | 45 | 4 2 2 |
| 48.28 | 35 | 4 4 0 |
| 54.41 | 23 | 6 2 0 |
| 65.50 | 26 | 6 4 2 |



Q: Number 1 is which compound?
A: Cs2GaHgCl6